1.
Starting from DFT lattice parameters and positions (GGA-PBE), the PXRD pattern of CeSc was simulated for Cu Ka.
Intensities are scaled so that the largest is 100.

Top 10 peaks for 10 to 90 degrees two-theta, by angle:
| 2θ/deg | I/Imax | index |
| --- | --- | --- |
| 15.58 | 82 | 0 0 1 |
| 31.13 | 22 | 1 1 0 |
| 31.48 | 73 | 1 0 1 |
| 33.86 | 53 | 0 2 0 |
| 34.08 | 100 | 1 1 -1 |
| 35.86 | 78 | 0 1 2 |
| 37.48 | 20 | 0 2 1 |
| 46.91 | 47 | 1 2 1 |
| 56.52 | 31 | 2 1 0 |
| 68.27 | 26 | 1 2 3 |

a = 3.4297 Å, b = 5.2943 Å, c = 5.7021 Å
α = 90.00°, β = 94.22°, γ = 90.00°
Space group P2_1/m (No. 11)
Symmetry-distinct sites (fractional):
Ce (0.1606, 0.2500, 0.4466) x2
Sc (0.2940, 0.7500, 0.0705) x2

2.
Starting from DFT lattice parameters and positions (GGA-PBE), the PXRD pattern of CeGePd6 was simulated for Cu Ka.
Intensities are scaled so that the largest is 100.

Top 10 peaks for 10 to 90 degrees two-theta, by angle:
| 2θ/deg | I/Imax | index |
| --- | --- | --- |
| 28.72 | 30 | 0 2 1 |
| 29.25 | 49 | 0 0 3 |
| 37.31 | 72 | 2 1 1 |
| 41.16 | 100 | 1 2 2 |
| 41.75 | 20 | 1 0 4 |
| 47.67 | 18 | 2 2 0 |
| 51.13 | 18 | 3 0 3 |
| 54.35 | 29 | 2 1 4 |
| 74.62 | 14 | 3 3 0 |
| 74.75 | 15 | 5 0 2 |

a = 7.6315 Å, b = 7.6315 Å, c = 9.1598 Å
α = 90.00°, β = 90.00°, γ = 120.00°
Space group R-3m (No. 166, hexagonal axes)
Symmetry-distinct sites (fractional):
Ce (0.0000, 0.0000, 0.0000) x3
Ge (0.0000, 0.0000, 0.5000) x3
Pd (0.0836, 0.5418, 0.3628) x18

3.
Starting from DFT lattice parameters and positions (GGA-PBE), the PXRD pattern of Pr2SbO6 was simulated for Cu Ka.
Intensities are scaled so that the largest is 100.

Top 10 peaks for 10 to 90 degrees two-theta, by angle:
| 2θ/deg | I/Imax | index |
| --- | --- | --- |
| 24.14 | 100 | 1 1 0 |
| 30.51 | 88 | 1 0 3 |
| 34.40 | 25 | 2 0 0 |
| 46.63 | 70 | 2 1 3 |
| 49.44 | 17 | 2 2 0 |
| 55.75 | 16 | 3 1 0 |
| 57.76 | 17 | 1 1 6 |
| 59.22 | 20 | 3 0 3 |
| 70.31 | 15 | 3 2 3 |
| 80.67 | 13 | 4 1 3 |

a = 5.2145 Å, b = 5.2145 Å, c = 10.6245 Å
α = 90.00°, β = 90.00°, γ = 90.00°
Space group P4_2/mnm (No. 136)
Symmetry-distinct sites (fractional):
Pr (0.0000, 0.0000, 0.1673) x4
Sb (0.0000, 0.0000, 0.5000) x2
O (0.1812, 0.1812, 0.3580) x8
O (0.2263, 0.2263, 0.0000) x4

4.
Starting from DFT lattice parameters and positions (GGA-PBE), the PXRD pattern of Sm6SnAs4 was simulated for Cu Ka.
Intensities are scaled so that the largest is 100.

Top 10 peaks for 10 to 90 degrees two-theta, by angle:
| 2θ/deg | I/Imax | index |
| --- | --- | --- |
| 27.70 | 24 | 1 1 4 |
| 28.17 | 83 | 0 2 6 |
| 28.93 | 42 | 1 3 1 |
| 29.84 | 100 | 1 3 2 |
| 31.31 | 43 | 1 3 3 |
| 40.51 | 28 | 1 1 8 |
| 42.51 | 49 | 0 6 4 |
| 42.86 | 35 | 2 0 0 |
| 44.43 | 23 | 1 5 5 |
| 52.08 | 30 | 2 2 6 |

a = 4.2200 Å, b = 13.8929 Å, c = 21.3569 Å
α = 90.00°, β = 90.00°, γ = 90.00°
Space group Cmcm (No. 63)
Symmetry-distinct sites (fractional):
Sm (0.0000, 0.0000, 0.0000) x4
Sm (0.0000, 0.1696, 0.2500) x4
Sm (0.0000, 0.2724, 0.5828) x8
Sm (0.0000, 0.4578, 0.1608) x8
Sn (0.0000, 0.1622, 0.7500) x4
As (0.0000, 0.0914, 0.1252) x8
As (0.0000, 0.3625, 0.0416) x8

5.
Starting from DFT lattice parameters and positions (GGA-PBE), the PXRD pattern of Ti2Nb13 was simulated for Cu Ka.
Intensities are scaled so that the largest is 100.

Top 10 peaks for 10 to 90 degrees two-theta, by angle:
| 2θ/deg | I/Imax | index |
| --- | --- | --- |
| 13.46 | 25 | 0 0 3 |
| 26.49 | 19 | 0 1 5 |
| 27.12 | 35 | 0 0 6 |
| 28.06 | 23 | 0 2 1 |
| 37.19 | 100 | 2 1 1 |
| 38.05 | 45 | 1 2 2 |
| 39.11 | 32 | 0 1 8 |
| 42.62 | 72 | 0 2 7 |
| 50.76 | 37 | 3 0 6 |
| 74.88 | 24 | 2 3 8 |

a = 7.4419 Å, b = 7.4419 Å, c = 19.7291 Å
α = 90.00°, β = 90.00°, γ = 120.00°
Space group R-3m (No. 166, hexagonal axes)
Symmetry-distinct sites (fractional):
Ti (0.0000, 0.0000, 0.1304) x6
Nb (0.0000, 0.0000, 0.0000) x3
Nb (0.0708, 0.5354, 0.2802) x18
Nb (0.0831, 0.5416, 0.4237) x18

6.
Starting from DFT lattice parameters and positions (GGA-PBE), the PXRD pattern of Li2ThSeO6 was simulated for Cu Ka.
Intensities are scaled so that the largest is 100.

Top 10 peaks for 10 to 90 degrees two-theta, by angle:
| 2θ/deg | I/Imax | index |
| --- | --- | --- |
| 15.70 | 31 | 1 0 0 |
| 19.50 | 66 | 0 0 1 |
| 22.28 | 100 | 1 1 0 |
| 29.78 | 70 | 1 1 1 |
| 31.71 | 30 | 2 0 0 |
| 37.50 | 26 | 2 0 1 |
| 45.46 | 22 | 2 2 0 |
| 45.91 | 28 | 1 1 2 |
| 49.91 | 21 | 2 2 1 |
| 55.30 | 25 | 3 1 1 |

a = 5.6429 Å, b = 5.6429 Å, c = 4.5515 Å
α = 90.00°, β = 90.00°, γ = 90.00°
Space group P4mm (No. 99)
Symmetry-distinct sites (fractional):
Li (0.0000, 0.5000, 0.0000) x2
Th (0.0000, 0.0000, 0.6860) x1
Se (0.5000, 0.5000, 0.7050) x1
O (0.0000, 0.0000, 0.2157) x1
O (0.2818, 0.2818, 0.8115) x4
O (0.5000, 0.5000, 0.3437) x1